# 1
This entry pairs a crystal structure of Cs2NpAsSe4 with its computed powder XRD pattern. Radiation: Cu Kα (weighted mean of Kα1 and Kα2). Structure: a PBE-relaxed structure.
Kinematic intensities with the Lorentz-polarization factor, no thermal factor.

```
Cs2NpAsSe4
1.0
6.2817 -6.2721 0.0000
6.2817 6.2721 0.0000
-5.6027 0.0000 6.7438
Cs Np As Se
4 2 2 8
direct
0.0000 0.0000 0.0000 Cs
0.0000 0.0000 0.5000 Cs
0.0000 0.5000 0.0000 Cs
0.5000 0.0000 0.5000 Cs
0.5000 0.5000 0.0000 Np
0.5000 0.5000 0.5000 Np
0.0000 0.5000 0.5000 As
0.5000 0.0000 0.0000 As
0.2472 0.6952 0.5109 Se
0.2746 0.3294 0.5671 Se
0.3048 0.7528 0.9891 Se
0.3294 0.2746 0.0671 Se
0.6706 0.7254 0.9329 Se
0.6952 0.2472 0.0109 Se
0.7254 0.6706 0.4329 Se
0.7528 0.3048 0.4891 Se
```

Top 10 peaks for 2θ from 15° to 90°, by intensity:
2θ 26.4, 3.372 Å, I 100; 2θ 28.5, 3.136 Å, I 80; 2θ 28.6, 3.125 Å, I 79; 2θ 39.2, 2.296 Å, I 60; 2θ 40.8, 2.214 Å, I 52; 2θ 23.2, 3.828 Å, I 38; 2θ 47.5, 1.913 Å, I 33; 2θ 37.2, 2.416 Å, I 32; 2θ 41.3, 2.186 Å, I 32; 2θ 50.9, 1.793 Å, I 30

# 2
This entry pairs a crystal structure of TbCeSmDy3 with its computed powder XRD pattern. Radiation: Cu Kα (weighted mean of Kα1 and Kα2). Structure: a PBE-relaxed structure.
Kinematic intensities with the Lorentz-polarization factor, no thermal factor.

```
TbCeSmDy3
1.0
2.9450 -5.5453 0.0000
2.9450 5.5453 0.0000
0.0000 0.0000 11.7910
Tb Ce Sm Dy
2 2 2 6
direct
0.1717 0.8283 0.7500 Tb
0.8283 0.1717 0.2500 Tb
0.4989 0.5011 0.7500 Ce
0.5011 0.4989 0.2500 Ce
0.0000 0.0000 0.0000 Sm
0.0000 0.0000 0.5000 Sm
0.1712 0.8288 0.2500 Dy
0.3302 0.6698 0.0006 Dy
0.3302 0.6698 0.4994 Dy
0.6698 0.3302 0.5006 Dy
0.6698 0.3302 0.9994 Dy
0.8288 0.1712 0.7500 Dy
```

Top 10 peaks for 2θ from 15° to 90°, by intensity:
2θ 32.4, 2.765 Å, I 100; 2θ 30.3, 2.946 Å, I 60; 2θ 55.2, 1.664 Å, I 44; 2θ 43.4, 2.083 Å, I 22; 2θ 59.0, 1.566 Å, I 18; 2θ 88.7, 1.103 Å, I 12; 2θ 67.8, 1.383 Å, I 12; 2θ 71.6, 1.318 Å, I 10; 2θ 72.7, 1.300 Å, I 10; 2θ 49.3, 1.848 Å, I 8

# 3
This entry pairs a crystal structure of Ac4NiSn3 with its computed powder XRD pattern. Radiation: Cu Kα (weighted mean of Kα1 and Kα2). Structure: a PBE-relaxed structure.
Kinematic intensities with the Lorentz-polarization factor, no thermal factor.

```
Ac4NiSn3
1.0
4.6218 0.0000 0.0000
0.0000 4.8156 0.0000
0.0000 0.0000 12.0492
Ac Ni Sn
4 1 3
direct
0.0000 0.0000 0.0000 Ac
0.0000 0.5000 0.4629 Ac
0.5000 0.0000 0.6958 Ac
0.5000 0.5000 0.2046 Ac
0.0000 0.0000 0.2765 Ni
0.0000 0.5000 0.7560 Sn
0.5000 0.0000 0.4038 Sn
0.5000 0.5000 0.9228 Sn
```

Top 10 peaks for 2θ from 15° to 90°, by intensity:
2θ 27.8, 3.214 Å, I 100; 2θ 35.0, 2.566 Å, I 49; 2θ 28.9, 3.084 Å, I 40; 2θ 37.3, 2.408 Å, I 27; 2θ 24.3, 3.667 Å, I 23; 2θ 39.0, 2.311 Å, I 23; 2θ 29.7, 3.012 Å, I 22; 2θ 49.3, 1.849 Å, I 19; 2θ 55.1, 1.667 Å, I 18; 2θ 35.6, 2.524 Å, I 18

# 4
This entry pairs a crystal structure of YRe2Tc10 with its computed powder XRD pattern. Radiation: Cu Kα (weighted mean of Kα1 and Kα2). Structure: a PBE-relaxed structure.
Kinematic intensities with the Lorentz-polarization factor, no thermal factor.

```
YRe2Tc10
1.0
4.5366 -5.2092 0.0000
4.5366 5.2092 0.0000
0.0000 0.0000 8.8536
Y Re Tc
2 4 20
direct
0.1214 0.8786 0.7500 Y
0.8786 0.1214 0.2500 Y
0.0000 0.5000 0.0000 Re
0.0000 0.5000 0.5000 Re
0.5000 0.0000 0.0000 Re
0.5000 0.0000 0.5000 Re
0.1311 0.3810 0.7500 Tc
0.1683 0.8317 0.1047 Tc
0.1683 0.8317 0.3953 Tc
0.2199 0.2199 0.0000 Tc
0.2199 0.2199 0.5000 Tc
0.2515 0.4726 0.2500 Tc
0.3810 0.1311 0.2500 Tc
0.3933 0.6067 0.5673 Tc
0.3933 0.6067 0.9327 Tc
0.4726 0.2515 0.7500 Tc
0.5274 0.7485 0.2500 Tc
0.6067 0.3933 0.0673 Tc
0.6067 0.3933 0.4327 Tc
0.6190 0.8689 0.7500 Tc
0.7485 0.5274 0.7500 Tc
0.7801 0.7801 0.0000 Tc
0.7801 0.7801 0.5000 Tc
0.8317 0.1683 0.6047 Tc
0.8317 0.1683 0.8953 Tc
0.8689 0.6190 0.2500 Tc
```

Top 10 peaks for 2θ from 15° to 90°, by intensity:
2θ 45.1, 2.012 Å, I 100; 2θ 40.2, 2.245 Å, I 81; 2θ 40.4, 2.235 Å, I 71; 2θ 45.6, 1.989 Å, I 55; 2θ 39.7, 2.268 Å, I 52; 2θ 40.8, 2.212 Å, I 50; 2θ 39.9, 2.259 Å, I 47; 2θ 37.0, 2.428 Å, I 40; 2θ 44.8, 2.025 Å, I 33; 2θ 34.9, 2.568 Å, I 27

Which formula does entry 2 have?
TbCeSmDy3